[1]
This entry pairs a crystal structure of Sm3PuPd12 with its theoretical powder diffractogram. Radiation: Cu Ka. Structure: the PBE geometry in Alexandria.
Kinematic intensities with the Lorentz-polarization factor, no thermal factor.

Atomic structure:
Cell lengths 4.1605, 4.1605, 16.6850 Å; angles 90.00, 90.00, 90.00 degrees
Fractional coordinates of all 16 atoms:
Sm 0.0000 0.0000 0.0000
Sm 0.0000 0.0000 0.2500
Sm 0.0000 0.0000 0.7500
Pu 0.0000 0.0000 0.5000
Pd 0.0000 0.5000 0.1257
Pd 0.0000 0.5000 0.3784
Pd 0.0000 0.5000 0.6216
Pd 0.0000 0.5000 0.8743
Pd 0.5000 0.0000 0.1257
Pd 0.5000 0.0000 0.3784
Pd 0.5000 0.0000 0.6216
Pd 0.5000 0.0000 0.8743
Pd 0.5000 0.5000 0.0000
Pd 0.5000 0.5000 0.2513
Pd 0.5000 0.5000 0.5000
Pd 0.5000 0.5000 0.7487

Most intense lines, 10° ≤ 2θ ≤ 90°, by angle:
21.34 deg, intensity 5
30.36 deg, intensity 4
37.41 deg, intensity 100
43.39 deg, intensity 16
43.50 deg, intensity 33
53.93 deg, intensity 2
63.15 deg, intensity 32
75.65 deg, intensity 12
75.82 deg, intensity 25
79.78 deg, intensity 11

=====

[2]
This entry pairs a crystal structure of LaPr2Pb2 with its theoretical powder diffractogram. Radiation: Cu Ka. Structure: the PBE geometry in Alexandria.
Kinematic intensities with the Lorentz-polarization factor, no thermal factor.

Atomic structure:
Cell lengths 6.2004, 3.7542, 14.4780 Å; angles 90.00, 90.06, 90.00 degrees
Fractional coordinates of all 10 atoms:
La 0.2488 0.2500 0.2231
La 0.7512 0.7500 0.7769
Pr 0.2501 0.7500 0.0243
Pr 0.2507 0.2500 0.5965
Pr 0.7493 0.7500 0.4035
Pr 0.7499 0.2500 0.9757
Pb 0.2493 0.7500 0.4096
Pb 0.2513 0.2500 0.8294
Pb 0.7487 0.7500 0.1706
Pb 0.7507 0.2500 0.5904

Most intense lines, 10° ≤ 2θ ≤ 90°, by angle:
28.80 deg, intensity 100
30.16 deg, intensity 67
30.45 deg, intensity 85
30.88 deg, intensity 54
33.52 deg, intensity 60
34.18 deg, intensity 29
42.19 deg, intensity 54
42.73 deg, intensity 45
57.39 deg, intensity 29
64.59 deg, intensity 35

=====

[3]
This entry pairs a crystal structure of Ca2Ag4Hg5 with its theoretical powder diffractogram. Radiation: Cu Ka. Structure: the PBE geometry in Alexandria.
Kinematic intensities with the Lorentz-polarization factor, no thermal factor.

Atomic structure:
Cell lengths 7.3052, 7.3052, 7.3052 Å; angles 133.21, 103.09, 95.09 degrees
Fractional coordinates of all 11 atoms:
Ca 0.2258 0.2258 0.0000
Ca 0.7742 0.7742 0.0000
Ag 0.0790 0.7444 0.3346
Ag 0.4099 0.7444 0.6654
Ag 0.5901 0.2556 0.3346
Ag 0.9210 0.2556 0.6654
Hg 0.0000 0.5000 0.5000
Hg 0.3196 0.2488 0.5685
Hg 0.3196 0.7512 0.0708
Hg 0.6804 0.2488 0.9292
Hg 0.6804 0.7512 0.4315

Most intense lines, 10° ≤ 2θ ≤ 90°, by angle:
17.99 deg, intensity 39
18.14 deg, intensity 45
30.89 deg, intensity 100
33.68 deg, intensity 53
35.92 deg, intensity 91
36.44 deg, intensity 79
38.17 deg, intensity 63
40.50 deg, intensity 50
41.21 deg, intensity 71
73.00 deg, intensity 36

=====

[4]
This entry pairs a crystal structure of Tb2CePrN4 with its theoretical powder diffractogram. Radiation: Cu Ka. Structure: the PBE geometry in Alexandria.
Kinematic intensities with the Lorentz-polarization factor, no thermal factor.

Atomic structure:
Cell lengths 6.1580, 3.5633, 6.1648 Å; angles 90.00, 109.30, 90.00 degrees
Fractional coordinates of all 8 atoms:
Tb 0.0000 0.0000 0.0000
Tb 0.0000 0.5000 0.5000
Ce 0.5000 0.0000 0.5000
Pr 0.5000 0.5000 0.0000
N 0.2441 0.0000 0.7376
N 0.2470 0.5000 0.2565
N 0.7530 0.5000 0.7435
N 0.7559 0.0000 0.2624

Most intense lines, 10° ≤ 2θ ≤ 90°, by angle:
30.76 deg, intensity 100
35.63 deg, intensity 49
35.73 deg, intensity 24
51.30 deg, intensity 34
51.37 deg, intensity 17
60.98 deg, intensity 30
61.13 deg, intensity 15
64.06 deg, intensity 17
83.75 deg, intensity 10
86.33 deg, intensity 11

=====

[5]
This entry pairs a crystal structure of Dy2CrGe4 with its theoretical powder diffractogram. Radiation: Cu Ka. Structure: the PBE geometry in Alexandria.
Kinematic intensities with the Lorentz-polarization factor, no thermal factor.

Atomic structure:
Cell lengths 4.3098, 4.3297, 15.3181 Å; angles 90.00, 90.00, 90.00 degrees
Fractional coordinates of all 14 atoms:
Dy 0.0000 0.0000 0.0000
Dy 0.0000 0.5000 0.5000
Dy 0.5000 0.0000 0.2013
Dy 0.5000 0.5000 0.7013
Cr 0.5000 0.0000 0.3955
Cr 0.5000 0.5000 0.8955
Ge 0.0000 0.0000 0.3506
Ge 0.0000 0.0000 0.6629
Ge 0.0000 0.5000 0.1629
Ge 0.0000 0.5000 0.8506
Ge 0.5000 0.0000 0.5511
Ge 0.5000 0.0000 0.8428
Ge 0.5000 0.5000 0.0511
Ge 0.5000 0.5000 0.3428

Most intense lines, 10° ≤ 2θ ≤ 90°, by angle:
23.69 deg, intensity 15
34.21 deg, intensity 100
35.15 deg, intensity 17
35.91 deg, intensity 19
41.09 deg, intensity 12
41.73 deg, intensity 24
41.92 deg, intensity 22
60.63 deg, intensity 14
71.35 deg, intensity 12
71.64 deg, intensity 12

=====

[6]
This entry pairs a crystal structure of TaGaSiOsPb with its theoretical powder diffractogram. Radiation: Cu Ka. Structure: the PBE geometry in Alexandria.
Kinematic intensities with the Lorentz-polarization factor, no thermal factor.

Atomic structure:
Cell lengths 3.0379, 3.6227, 17.3376 Å; angles 90.00, 90.00, 90.00 degrees
Fractional coordinates of all 10 atoms:
Ta 0.0000 0.0000 0.0000
Ta 0.0000 0.5000 0.5000
Ga 0.0000 0.0000 0.8379
Ga 0.0000 0.5000 0.3379
Si 0.5000 0.0000 0.5676
Si 0.5000 0.5000 0.0676
Os 0.5000 0.0000 0.4120
Os 0.5000 0.5000 0.9120
Pb 0.5000 0.0000 0.2063
Pb 0.5000 0.5000 0.7063

Most intense lines, 10° ≤ 2θ ≤ 90°, by angle:
10.20 deg, intensity 42
20.49 deg, intensity 37
25.11 deg, intensity 36
35.85 deg, intensity 99
36.11 deg, intensity 40
39.04 deg, intensity 100
41.84 deg, intensity 21
43.21 deg, intensity 40
50.38 deg, intensity 23
72.82 deg, intensity 26